Theoretical powder diffractogram of Pa2VCdO8 for Cu Kα (weighted mean of Kα1 and Kα2), from a structure optimized by DFT (PBE+U).
Intensities are scaled so that the largest is 100.

Top 8 peaks for 10° ≤ 2θ ≤ 80°, by intensity:
2θ/deg  intensity  (hkl)
25.8  100  2 0 0
31.0  52  1 1 -2
31.4  48  1 1 2
18.2  44  1 1 0
36.9  27  2 2 0
49.0  19  1 3 -2
48.6  18  3 1 -2
49.2  18  1 3 2

Structural model:
a = 6.9074 Å, b = 6.8859 Å, c = 7.0835 Å
α = 90.00°, β = 91.11°, γ = 90.00°
Space group C2/m (No. 12)
Symmetry-distinct sites (fractional):
Pa (0.0032, 0.0000, 0.2449) [4 per cell]
V (0.0000, 0.5000, 0.0000) [2 per cell]
Cd (0.0000, 0.5000, 0.5000) [2 per cell]
O (0.0000, 0.1844, 0.5000) [4 per cell]
O (0.0000, 0.2009, 0.0000) [4 per cell]
O (0.1874, 0.5000, 0.1991) [4 per cell]
O (0.1944, 0.5000, 0.7849) [4 per cell]